Sr2PrSi4: calculated X-ray diffraction stick pattern (a wavelength of 1.5418 Å), based on the GGA-PBE geometry in Alexandria.
Kinematic intensities with the Lorentz-polarization factor, no thermal factor.

Cell and atoms:
```
Sr2PrSi4
1.0
-2.007 2.274 9.364
2.007 -2.274 9.364
2.007 2.274 -9.364
Sr Pr Si
2 1 4
Direct
0.183 0.183 0.000 Sr
0.817 0.817 0.000 Sr
0.000 0.500 0.500 Pr
0.366 0.366 0.000 Si
0.437 0.937 0.500 Si
0.563 0.063 0.500 Si
0.634 0.634 0.000 Si
```

Peak list (10 most intense, 5° ≤ 2θ ≤ 70°, by angle)
20.09°, rel. 21.6; 26.40°, rel. 47.1; 28.60°, rel. 23.1; 30.93°, rel. 64.9; 31.22°, rel. 100.0; 35.46°, rel. 35.4; 39.63°, rel. 25.8; 40.52°, rel. 20.5; 49.33°, rel. 27.8; 55.75°, rel. 23.9